Entry 1:
For PrSm4DyS8, a cell relaxed with GGA-PBE gives the simulated powder X-ray diffraction pattern in this record (λ = 1.5418 Å (Cu Kα)).
Lines closer than 0.1° are merged.

Main lines, sorted by position (2θ from 10° to 80°):
| 2θ (°) | I/Imax |
| --- | --- |
| 21.6 | 28 |
| 25.4 | 100 |
| 26.5 | 12 |
| 30.7 | 18 |
| 37.8 | 10 |
| 40.2 | 12 |
| 40.2 | 31 |
| 43.9 | 29 |
| 44.0 | 29 |
| 51.5 | 11 |
| 61.1 | 10 |
| 63.9 | 9 |

Crystal structure
Cell: 8.2284 8.2284 20.2305 Å, 90.00 90.00 120.00°
Space group R3m (No. 160, hexagonal axes)
Symmetry-distinct sites (fractional):
Pr 0.0000 0.0000 0.0000
Sm 0.0000 0.0000 0.3755
Sm 0.0020 0.5010 0.5012
Dy 0.0000 0.0000 0.6263
S 0.0000 0.0000 0.2426
S 0.0000 0.0000 0.7565
S 0.0173 0.5087 0.7552
S 0.1714 0.3429 0.5807



Entry 2:
For PrDy2YS6, a cell relaxed with GGA-PBE gives the simulated powder X-ray diffraction pattern in this record (λ = 1.5418 Å (Cu Kα)).
Lines closer than 0.1° are merged.

Main lines, sorted by position (2θ from 10° to 80°):
| 2θ (°) | I/Imax |
| --- | --- |
| 17.5 | 47 |
| 24.1 | 100 |
| 25.4 | 94 |
| 29.3 | 19 |
| 35.3 | 51 |
| 38.8 | 78 |
| 44.0 | 49 |
| 44.8 | 50 |
| 51.4 | 25 |
| 60.7 | 20 |
| 64.5 | 19 |
| 78.6 | 23 |

Crystal structure
Cell: 7.0039 7.0039 18.6026 Å, 90.00 90.00 120.00°
Space group R3 (No. 146, hexagonal axes)
Symmetry-distinct sites (fractional):
Pr 0.0000 0.0000 0.0000
Dy 0.0000 0.0000 0.2910
Dy 0.0000 0.0000 0.7948
Y 0.0000 0.0000 0.4935
S 0.0040 0.3058 0.8912
S 0.0222 0.7180 0.3918



Entry 3:
For Pr2Dy2Sb3, a cell relaxed with GGA-PBE gives the simulated powder X-ray diffraction pattern in this record (λ = 1.5418 Å (Cu Kα)).
Lines closer than 0.1° are merged.

Main lines, sorted by position (2θ from 10° to 80°):
| 2θ (°) | I/Imax |
| --- | --- |
| 30.1 | 100 |
| 35.8 | 68 |
| 43.1 | 10 |
| 45.3 | 8 |
| 47.4 | 18 |
| 49.5 | 24 |
| 60.8 | 25 |
| 62.6 | 12 |
| 64.3 | 15 |
| 69.3 | 6 |
| 74.2 | 15 |
| 75.8 | 5 |

Crystal structure
Cell: 9.3897 9.3897 9.3897 Å, 90.00 90.00 90.00°
Space group I2_13 (No. 199)
Symmetry-distinct sites (fractional):
Pr 0.0747 0.0747 0.0747
Dy 0.1812 0.3188 0.6812
Sb 0.0000 0.2500 0.3840



Entry 4:
For Tb2PrDySb4, a cell relaxed with GGA-PBE gives the simulated powder X-ray diffraction pattern in this record (λ = 1.5418 Å (Cu Kα)).
Lines closer than 0.1° are merged.

Main lines, sorted by position (2θ from 10° to 80°):
| 2θ (°) | I/Imax |
| --- | --- |
| 24.6 | 3 |
| 28.4 | 100 |
| 40.7 | 76 |
| 48.1 | 1 |
| 50.4 | 27 |
| 58.9 | 13 |
| 64.7 | 1 |
| 66.6 | 35 |
| 74.0 | 26 |
| 79.3 | 1 |

Crystal structure
Cell: 6.2758 6.2758 12.5522 Å, 90.00 90.00 90.00°
Space group I4/mmm (No. 139)
Symmetry-distinct sites (fractional):
Tb 0.0000 0.5000 0.2500
Pr 0.0000 0.0000 0.0000
Dy 0.0000 0.0000 0.5000
Sb 0.0000 0.0000 0.2540
Sb 0.0000 0.5000 0.0000



Entry 5:
For PrDy4Sc2, a cell relaxed with GGA-PBE gives the simulated powder X-ray diffraction pattern in this record (λ = 1.5418 Å (Cu Kα)).
Lines closer than 0.1° are merged.

Main lines, sorted by position (2θ from 10° to 80°):
| 2θ (°) | I/Imax |
| --- | --- |
| 15.7 | 20 |
| 31.1 | 33 |
| 31.4 | 100 |
| 31.9 | 78 |
| 32.1 | 74 |
| 32.2 | 85 |
| 33.4 | 33 |
| 33.5 | 41 |
| 35.9 | 53 |
| 54.9 | 28 |
| 64.9 | 20 |
| 65.1 | 41 |

Crystal structure
Cell: 5.5824 6.6885 11.6115 Å, 90.00 103.33 90.00°
Space group P2_1/m (No. 11)
Symmetry-distinct sites (fractional):
Pr 0.0026 0.2500 0.1350
Dy 0.1171 0.7500 0.1592
Dy 0.2328 0.2500 0.4279
Dy 0.3478 0.0024 0.7045
Sc 0.2014 0.7500 0.4351
Sc 0.4408 0.2500 0.0004



Entry 6:
For Pr2Dy2Sc3, a cell relaxed with GGA-PBE gives the simulated powder X-ray diffraction pattern in this record (λ = 1.5418 Å (Cu Kα)).
Lines closer than 0.1° are merged.

Main lines, sorted by position (2θ from 10° to 80°):
| 2θ (°) | I/Imax |
| --- | --- |
| 23.1 | 42 |
| 26.7 | 60 |
| 30.0 | 100 |
| 32.9 | 41 |
| 35.6 | 85 |
| 42.9 | 21 |
| 47.2 | 22 |
| 49.2 | 58 |
| 60.5 | 42 |
| 64.0 | 21 |
| 70.6 | 16 |
| 73.8 | 22 |

Crystal structure
Cell: 9.4345 9.4345 9.4345 Å, 90.00 90.00 90.00°
Space group I2_13 (No. 199)
Symmetry-distinct sites (fractional):
Pr 0.0861 0.4139 0.5861
Dy 0.2138 0.2138 0.2138
Sc 0.0000 0.2500 0.9591



Entry 7:
For Pr3DySc2, a cell relaxed with GGA-PBE gives the simulated powder X-ray diffraction pattern in this record (λ = 1.5418 Å (Cu Kα)).
Lines closer than 0.1° are merged.

Main lines, sorted by position (2θ from 10° to 80°):
| 2θ (°) | I/Imax |
| --- | --- |
| 11.6 | 30 |
| 28.6 | 66 |
| 30.0 | 41 |
| 31.0 | 98 |
| 31.4 | 100 |
| 33.2 | 91 |
| 33.6 | 72 |
| 35.6 | 77 |
| 38.8 | 28 |
| 53.1 | 35 |
| 62.1 | 26 |
| 62.4 | 28 |

Crystal structure
Cell: 9.5326 3.4938 11.4414 Å, 90.00 95.28 90.00°
Space group P2_1/m (No. 11)
Symmetry-distinct sites (fractional):
Pr 0.0720 0.2500 0.1237
Pr 0.2610 0.2500 0.8670
Pr 0.3976 0.2500 0.6071
Dy 0.2365 0.7500 0.3590
Sc 0.0758 0.7500 0.6167
Sc 0.4292 0.2500 0.1503



Entry 8:
For Pr6DySc2, a cell relaxed with GGA-PBE gives the simulated powder X-ray diffraction pattern in this record (λ = 1.5418 Å (Cu Kα)).
Lines closer than 0.1° are merged.

Main lines, sorted by position (2θ from 10° to 80°):
| 2θ (°) | I/Imax |
| --- | --- |
| 10.2 | 15 |
| 17.7 | 17 |
| 26.3 | 28 |
| 29.2 | 31 |
| 30.8 | 100 |
| 31.0 | 47 |
| 31.9 | 32 |
| 34.3 | 30 |
| 36.7 | 20 |
| 38.9 | 26 |
| 55.0 | 16 |
| 62.6 | 28 |

Crystal structure
Cell: 20.0336 3.4518 10.0126 Å, 90.00 119.65 90.00°
Space group C2/m (No. 12)
Symmetry-distinct sites (fractional):
Pr 0.0033 0.0000 0.1725
Pr 0.1643 0.5000 0.4824
Pr 0.1814 0.0000 0.8313
Dy 0.0000 0.0000 0.5000
Sc 0.1656 0.0000 0.1660



Entry 9:
For Pr4Dy4Sc, a cell relaxed with GGA-PBE gives the simulated powder X-ray diffraction pattern in this record (λ = 1.5418 Å (Cu Kα)).
Lines closer than 0.1° are merged.

Main lines, sorted by position (2θ from 10° to 80°):
| 2θ (°) | I/Imax |
| --- | --- |
| 11.6 | 4 |
| 25.5 | 4 |
| 30.5 | 100 |
| 35.3 | 34 |
| 35.6 | 17 |
| 50.8 | 12 |
| 51.0 | 24 |
| 60.4 | 28 |
| 60.8 | 14 |
| 63.5 | 12 |
| 74.7 | 4 |
| 75.3 | 2 |

Crystal structure
Cell: 10.7861 10.7861 5.0469 Å, 90.00 90.00 90.00°
Space group I4/mmm (No. 139)
Symmetry-distinct sites (fractional):
Pr 0.1642 0.1642 0.0000
Dy 0.0000 0.3331 0.5000
Sc 0.0000 0.0000 0.5000



Entry 10:
For Pr5Dy5Sc2, a cell relaxed with GGA-PBE gives the simulated powder X-ray diffraction pattern in this record (λ = 1.5418 Å (Cu Kα)).
Lines closer than 0.1° are merged.

Main lines, sorted by position (2θ from 10° to 80°):
| 2θ (°) | I/Imax |
| --- | --- |
| 18.8 | 5 |
| 23.7 | 3 |
| 30.7 | 100 |
| 35.6 | 50 |
| 51.2 | 18 |
| 51.2 | 18 |
| 60.8 | 14 |
| 60.9 | 28 |
| 63.8 | 6 |
| 64.0 | 6 |
| 75.2 | 2 |
| 75.4 | 4 |

Crystal structure
Cell: 15.1256 5.0451 11.2831 Å, 90.00 116.40 90.00°
Space group C2/m (No. 12)
Symmetry-distinct sites (fractional):
Pr 0.0000 0.0000 0.0000
Pr 0.1622 0.0000 0.4983
Pr 0.2460 0.5000 0.7501
Dy 0.0000 0.5000 0.5000
Dy 0.0794 0.5000 0.2490
Dy 0.1679 0.5000 0.0000
Sc 0.0836 0.0000 0.7547



Entry 11:
For Pr2Dy7Sc2, a cell relaxed with GGA-PBE gives the simulated powder X-ray diffraction pattern in this record (λ = 1.5418 Å (Cu Kα)).
Lines closer than 0.1° are merged.

Main lines, sorted by position (2θ from 10° to 80°):
| 2θ (°) | I/Imax |
| --- | --- |
| 26.0 | 41 |
| 28.4 | 17 |
| 30.6 | 100 |
| 32.3 | 47 |
| 33.4 | 56 |
| 34.0 | 27 |
| 34.8 | 37 |
| 36.7 | 17 |
| 39.4 | 28 |
| 52.9 | 26 |
| 62.7 | 18 |
| 64.3 | 25 |

Crystal structure
Cell: 3.5044 18.0055 11.0919 Å, 90.00 90.00 90.00°
Space group Imm2 (No. 44)
Symmetry-distinct sites (fractional):
Pr 0.0000 0.0000 0.0000
Pr 0.0000 0.5000 0.2005
Dy 0.0000 0.1125 0.4875
Dy 0.0000 0.2172 0.9995
Dy 0.0000 0.3251 0.2515
Dy 0.0000 0.5000 0.7876
Sc 0.0000 0.3291 0.7412



Entry 12:
For Pr2DySc2, a cell relaxed with GGA-PBE gives the simulated powder X-ray diffraction pattern in this record (λ = 1.5418 Å (Cu Kα)).
Lines closer than 0.1° are merged.

Main lines, sorted by position (2θ from 10° to 80°):
| 2θ (°) | I/Imax |
| --- | --- |
| 23.0 | 31 |
| 28.2 | 61 |
| 30.8 | 27 |
| 31.0 | 29 |
| 31.6 | 66 |
| 32.3 | 100 |
| 34.8 | 46 |
| 35.0 | 43 |
| 43.0 | 40 |
| 53.2 | 25 |
| 56.6 | 20 |
| 63.5 | 25 |

Crystal structure
Cell: 8.8849 15.9010 5.6710 Å, 90.00 129.19 90.00°
Space group C2/c (No. 15)
Symmetry-distinct sites (fractional):
Pr 0.2413 0.0638 0.4928
Dy 0.0000 0.1625 0.7500
Sc 0.0000 0.2600 0.2500
Sc 0.0000 0.3758 0.7500



Entry 13:
For Pr2Dy2Sc, a cell relaxed with GGA-PBE gives the simulated powder X-ray diffraction pattern in this record (λ = 1.5418 Å (Cu Kα)).
Lines closer than 0.1° are merged.

Main lines, sorted by position (2θ from 10° to 80°):
| 2θ (°) | I/Imax |
| --- | --- |
| 15.9 | 15 |
| 25.4 | 26 |
| 27.7 | 20 |
| 31.5 | 48 |
| 31.9 | 100 |
| 34.3 | 23 |
| 34.5 | 40 |
| 41.0 | 15 |
| 41.2 | 20 |
| 45.6 | 14 |
| 51.9 | 15 |
| 56.4 | 16 |

Crystal structure
Cell: 3.5219 5.6716 32.2045 Å, 90.00 90.00 90.00°
Space group Imma (No. 74)
Symmetry-distinct sites (fractional):
Pr 0.0000 0.2500 0.1846
Pr 0.0000 0.2500 0.7059
Dy 0.0000 0.2500 0.8852
Dy 0.0000 0.2500 0.9805
Sc 0.0000 0.2500 0.4274